Structure and calculated XRD peak list of TiCrW2 (DFT lattice parameters and positions (PBE); λ = 1.5418 Å (Cu Kα)).
Kinematic intensities with the Lorentz-polarization factor, no thermal factor.

Structure:
```
4
Lattice="4.3805 0.0000 0.0000 0.0000 4.3805 0.0000 0.0000 0.0000 3.0920" Properties=species:S:1:pos:R:3 pbc="T T T"
Ti 0.0000 0.0000 0.0000
Cr 2.1902 2.1902 0.0000
W 0.0000 2.1902 1.5460
W 2.1902 0.0000 1.5460
```

Peak list (10 most intense, 10 to 90 degrees two-theta, in order of falling intensity)
2theta, d/Å, I/Imax, h k l
41.24, 2.189, 100, 2 0 0
28.84, 3.096, 41, 1 1 0
75.18, 1.264, 33, 3 1 1
51.11, 1.787, 12, 2 0 1
59.71, 1.549, 11, 2 2 0
67.65, 1.385, 11, 3 1 0
89.59, 1.094, 7, 2 2 2
59.82, 1.546, 5, 0 0 2
67.74, 1.383, 5, 1 1 2
89.49, 1.095, 4, 4 0 0